No. 1
Calculated powder diffraction line list
Compound: Nd2AlSiI2
Radiation: Cu Kα, 1.54184 Å
Structure: a GGA-PBE-relaxed structure
Neutral-atom scattering factors, no anomalous dispersion.

Top 12 peaks for 2θ = 10–80°, by intensity:
d (Å), 2θ (°), I/Imax
2.765, 32.4, 100.0
3.515, 25.3, 64.3
2.112, 42.8, 55.3
3.168, 28.2, 41.2
1.314, 71.8, 29.4
6.336, 14.0, 28.7
1.493, 62.2, 26.9
1.679, 54.7, 22.3
2.083, 43.4, 17.6
2.395, 37.6, 15.7
1.758, 52.0, 12.5
1.811, 50.4, 10.0

Crystal structure
Unit cell a=4.225 b=4.225 c=12.671 alpha=90.00 beta=90.00 gamma=120.00
Positions (direct):
Nd: 0.000 0.000 0.000
Nd: 0.000 0.000 0.331
Al: 0.333 0.667 0.155
Si: 0.667 0.333 0.177
I: 0.333 0.667 0.498
I: 0.667 0.333 0.834

=====

No. 2
Calculated powder diffraction line list
Compound: LaDyCN2O2
Radiation: Cu Kα, 1.54184 Å
Structure: a GGA-PBE-relaxed structure
Neutral-atom scattering factors, no anomalous dispersion.

Top 12 peaks for 2θ = 10–80°, by intensity:
d (Å), 2θ (°), I/Imax
3.084, 29.0, 100.0
8.260, 10.7, 45.4
2.589, 34.6, 41.0
1.919, 47.4, 29.2
1.754, 52.1, 24.3
2.120, 42.6, 21.3
1.574, 58.6, 19.4
4.130, 21.5, 19.1
2.753, 32.5, 17.3
3.324, 26.8, 16.9
1.629, 56.5, 15.2
1.242, 76.7, 12.4

Crystal structure
Unit cell a=3.838 b=3.838 c=8.260 alpha=90.00 beta=90.00 gamma=120.00
Positions (direct):
La: 0.000 0.000 0.000
Dy: 0.667 0.333 0.640
C: 0.333 0.667 0.326
N: 0.333 0.667 0.176
N: 0.333 0.667 0.476
O: 0.000 0.000 0.706
O: 0.667 0.333 0.912

=====

No. 3
Calculated powder diffraction line list
Compound: Dy2Ho2InNi2Ge4
Radiation: Cu Kα, 1.54184 Å
Structure: a GGA-PBE-relaxed structure
Neutral-atom scattering factors, no anomalous dispersion.

Top 12 peaks for 2θ = 10–80°, by intensity:
d (Å), 2θ (°), I/Imax
2.598, 34.5, 100.0
2.676, 33.5, 75.1
2.117, 42.7, 52.3
2.475, 36.3, 52.1
2.487, 36.1, 35.9
2.412, 37.3, 34.4
2.578, 34.8, 29.1
3.201, 27.9, 26.2
2.226, 40.5, 22.6
2.366, 38.0, 21.7
2.727, 32.8, 21.3
2.090, 43.3, 20.1

Crystal structure
Unit cell a=8.026 b=8.026 c=7.047 alpha=107.98 beta=107.98 gamma=30.59
Positions (direct):
Dy: 0.156 0.156 0.438
Dy: 0.844 0.844 0.562
Ho: 0.091 0.091 0.891
Ho: 0.909 0.909 0.109
In: 0.500 0.500 0.500
Ni: 0.283 0.283 0.857
Ni: 0.717 0.717 0.143
Ge: 0.296 0.296 0.227
Ge: 0.434 0.434 0.838
Ge: 0.566 0.566 0.162
Ge: 0.704 0.704 0.773

=====

No. 4
Calculated powder diffraction line list
Compound: Sr3Sc2Ag2S2O5
Radiation: Cu Kα, 1.54184 Å
Structure: a GGA-PBE-relaxed structure
Neutral-atom scattering factors, no anomalous dispersion.

Top 12 peaks for 2θ = 10–80°, by intensity:
d (Å), 2θ (°), I/Imax
2.444, 36.8, 100.0
2.807, 31.9, 94.7
2.065, 43.9, 78.1
2.853, 31.4, 58.2
2.677, 33.5, 57.0
1.663, 55.2, 37.9
1.601, 57.6, 32.2
3.350, 26.6, 24.2
1.460, 63.8, 23.6
1.300, 72.7, 22.2
1.253, 75.9, 20.9
1.758, 52.0, 16.2

Crystal structure
Unit cell a=13.715 b=13.715 c=13.715 alpha=162.68 beta=162.68 gamma=24.58
Positions (direct):
Sr: 0.000 0.000 0.000
Sr: 0.138 0.138 0.000
Sr: 0.862 0.862 0.000
Sc: 0.426 0.426 0.000
Sc: 0.574 0.574 0.000
Ag: 0.250 0.750 0.500
Ag: 0.750 0.250 0.500
S: 0.314 0.314 0.000
S: 0.686 0.686 0.000
O: 0.083 0.583 0.500
O: 0.417 0.917 0.500
O: 0.500 0.500 0.000
O: 0.583 0.083 0.500
O: 0.917 0.417 0.500

=====

No. 5
Calculated powder diffraction line list
Compound: Ho2Ga3Hg3
Radiation: Cu Kα, 1.54184 Å
Structure: a GGA-PBE-relaxed structure
Neutral-atom scattering factors, no anomalous dispersion.

Top 12 peaks for 2θ = 10–80°, by intensity:
d (Å), 2θ (°), I/Imax
2.416, 37.2, 100.0
1.340, 70.2, 28.9
2.789, 32.1, 20.9
1.395, 67.1, 17.1
1.611, 57.2, 15.3
1.827, 49.9, 12.3
5.582, 15.9, 11.6
2.680, 33.4, 6.7
3.654, 24.4, 6.5
1.208, 79.3, 5.2
2.109, 42.9, 3.8
1.589, 58.0, 3.2

Crystal structure
Unit cell a=4.834 b=6.438 c=11.165 alpha=90.00 beta=90.00 gamma=90.00
Positions (direct):
Ho: 0.000 0.000 0.000
Ho: 0.000 0.500 0.500
Ho: 0.500 0.000 0.335
Ho: 0.500 0.500 0.835
Ga: 0.000 0.229 0.754
Ga: 0.000 0.271 0.254
Ga: 0.000 0.729 0.254
Ga: 0.000 0.771 0.754
Ga: 0.500 0.000 0.829
Ga: 0.500 0.500 0.329
Hg: 0.000 0.000 0.505
Hg: 0.000 0.500 0.005
Hg: 0.500 0.250 0.094
Hg: 0.500 0.250 0.594
Hg: 0.500 0.750 0.094
Hg: 0.500 0.750 0.594

=====

No. 6
Calculated powder diffraction line list
Compound: MoWSe4
Radiation: Cu Kα, 1.54184 Å
Structure: a GGA-PBE-relaxed structure
Neutral-atom scattering factors, no anomalous dispersion.

Top 12 peaks for 2θ = 10–80°, by intensity:
d (Å), 2θ (°), I/Imax
8.121, 10.9, 100.0
2.152, 42.0, 30.5
2.537, 35.4, 23.4
2.828, 31.6, 18.4
2.345, 38.4, 17.6
1.650, 55.7, 14.0
1.354, 69.4, 9.2
1.970, 46.1, 9.0
2.708, 33.1, 8.3
1.624, 56.7, 7.5
2.872, 31.1, 6.7
1.805, 50.6, 6.6

Crystal structure
Unit cell a=16.243 b=3.316 c=5.744 alpha=90.00 beta=90.00 gamma=90.00
Positions (direct):
Mo: 0.000 0.000 0.000
Mo: 0.000 0.500 0.500
W: 0.500 0.000 0.499
W: 0.500 0.500 0.999
Se: 0.103 0.000 0.333
Se: 0.103 0.500 0.833
Se: 0.396 0.000 0.833
Se: 0.396 0.500 0.333
Se: 0.604 0.000 0.833
Se: 0.604 0.500 0.333
Se: 0.897 0.000 0.333
Se: 0.897 0.500 0.833

=====

No. 7
Calculated powder diffraction line list
Compound: ThSb2
Radiation: Cu Kα, 1.54184 Å
Structure: a GGA-PBE-relaxed structure
Neutral-atom scattering factors, no anomalous dispersion.

Top 12 peaks for 2θ = 10–80°, by intensity:
d (Å), 2θ (°), I/Imax
8.036, 11.0, 100.0
3.193, 27.9, 35.4
4.921, 18.0, 31.8
2.353, 38.3, 31.0
2.461, 36.5, 24.5
1.949, 46.6, 17.8
2.841, 31.5, 16.6
4.018, 22.1, 16.1
1.528, 60.6, 12.2
1.860, 49.0, 10.0
1.216, 78.7, 9.7
1.399, 66.9, 9.1

Crystal structure
Unit cell a=9.842 b=9.842 c=9.842 alpha=60.00 beta=60.00 gamma=60.00
Positions (direct):
Th: 0.125 0.125 0.125
Th: 0.875 0.875 0.875
Sb: 0.000 0.000 0.000
Sb: 0.000 0.000 0.500
Sb: 0.000 0.500 0.000
Sb: 0.500 0.000 0.000

=====

No. 8
Calculated powder diffraction line list
Compound: ZnCu2SiTe2Se2
Radiation: Cu Kα, 1.54184 Å
Structure: a GGA-PBE-relaxed structure
Neutral-atom scattering factors, no anomalous dispersion.

Top 12 peaks for 2θ = 10–80°, by intensity:
d (Å), 2θ (°), I/Imax
3.332, 26.8, 100.0
3.365, 26.5, 96.2
2.048, 44.2, 88.6
1.745, 52.4, 42.7
1.759, 52.0, 30.3
2.071, 43.7, 23.5
2.041, 44.4, 22.1
1.453, 64.1, 14.0
1.740, 52.6, 12.5
1.326, 71.1, 11.6
1.332, 70.7, 9.9
2.907, 30.8, 8.1

Crystal structure
Unit cell a=7.103 b=7.068 c=5.815 alpha=66.09 beta=65.46 gamma=48.45
Positions (direct):
Zn: 0.000 0.000 0.000
Cu: 0.270 0.270 0.230
Cu: 0.770 0.770 0.730
Si: 0.500 0.500 0.500
Te: 0.394 0.878 0.122
Te: 0.878 0.394 0.606
Se: 0.144 0.615 0.856
Se: 0.615 0.144 0.385

=====

No. 9
Calculated powder diffraction line list
Compound: Nd4S3I4
Radiation: Cu Kα, 1.54184 Å
Structure: a GGA-PBE-relaxed structure
Neutral-atom scattering factors, no anomalous dispersion.

Top 12 peaks for 2θ = 10–80°, by intensity:
d (Å), 2θ (°), I/Imax
3.101, 28.8, 100.0
3.189, 28.0, 96.3
3.207, 27.8, 92.7
2.584, 34.7, 48.7
1.814, 50.3, 36.2
1.803, 50.6, 35.1
2.181, 41.4, 26.9
2.205, 40.9, 26.0
4.673, 19.0, 25.8
2.065, 43.8, 24.8
2.060, 44.0, 22.8
1.392, 67.2, 20.7

Crystal structure
Unit cell a=4.362 b=8.819 c=9.347 alpha=90.00 beta=90.00 gamma=90.00
Positions (direct):
Nd: 0.000 0.000 0.000
Nd: 0.000 0.500 0.049
Nd: 0.500 0.264 0.670
Nd: 0.500 0.736 0.670
S: 0.000 0.282 0.848
S: 0.000 0.718 0.848
S: 0.500 0.000 0.828
I: 0.000 0.000 0.500
I: 0.000 0.500 0.497
I: 0.500 0.246 0.188
I: 0.500 0.754 0.188

=====

No. 10
Calculated powder diffraction line list
Compound: LiYW2
Radiation: Cu Kα, 1.54184 Å
Structure: a GGA-PBE-relaxed structure
Neutral-atom scattering factors, no anomalous dispersion.

Top 10 peaks for 2θ = 10–80°, by intensity:
d (Å), 2θ (°), I/Imax
2.323, 38.8, 100.0
3.794, 23.4, 44.9
1.341, 70.2, 35.1
1.981, 45.8, 23.6
1.643, 56.0, 17.3
1.507, 61.5, 10.0
1.265, 75.1, 7.5
3.285, 27.1, 4.6
1.469, 63.3, 1.6
1.897, 48.0, 1.2

Crystal structure
Unit cell a=6.571 b=6.571 c=6.571 alpha=90.00 beta=90.00 gamma=90.00
Positions (direct):
Li: 0.000 0.000 0.000
Li: 0.000 0.500 0.500
Li: 0.500 0.000 0.500
Li: 0.500 0.500 0.000
Y: 0.250 0.250 0.250
Y: 0.250 0.750 0.750
Y: 0.750 0.250 0.750
Y: 0.750 0.750 0.250
W: 0.000 0.000 0.500
W: 0.000 0.500 0.000
W: 0.250 0.250 0.750
W: 0.250 0.750 0.250
W: 0.500 0.000 0.000
W: 0.500 0.500 0.500
W: 0.750 0.250 0.250
W: 0.750 0.750 0.750